(1)
For Li2Dy3Cu7, a structure optimized by DFT (PBE) gives the theoretical powder diffractogram in this record (Cu Kα (weighted mean of Kα1 and Kα2)).
Peak positions follow from Bragg's law for the DFT cell and can differ from measured ones.

Cell and atoms:
Unit cell a=8.724 b=8.724 c=8.724 alpha=35.12 beta=35.12 gamma=35.12
Fractional positions:
Li  0.168  0.168  0.168
Li  0.832  0.832  0.832
Dy  0.362  0.362  0.362
Dy  0.500  0.500  0.500
Dy  0.638  0.638  0.638
Cu  0.000  0.000  0.000
Cu  0.083  0.083  0.582
Cu  0.083  0.582  0.083
Cu  0.418  0.917  0.917
Cu  0.582  0.083  0.083
Cu  0.917  0.418  0.917
Cu  0.917  0.917  0.418

Most intense lines, 5° ≤ 2θ ≤ 70°, sorted by position:
d = 8.177 Å, 10.82 deg, I = 41.3
d = 4.482 Å, 19.81 deg, I = 32.3
d = 2.778 Å, 32.22 deg, I = 90.9
d = 2.632 Å, 34.07 deg, I = 51.1
d = 2.544 Å, 35.27 deg, I = 78.6
d = 2.269 Å, 39.72 deg, I = 80.8
d = 2.213 Å, 40.77 deg, I = 100.0
d = 1.546 Å, 59.81 deg, I = 31.0
d = 1.502 Å, 61.76 deg, I = 30.1
d = 1.389 Å, 67.41 deg, I = 32.7

(2)
For LiDy2CuPt2, a structure optimized by DFT (PBE) gives the theoretical powder diffractogram in this record (Cu Kα (weighted mean of Kα1 and Kα2)).
Peak positions follow from Bragg's law for the DFT cell and can differ from measured ones.

Cell and atoms:
Unit cell a=8.208 b=8.208 c=8.208 alpha=139.56 beta=58.80 gamma=139.19
Fractional positions:
Li  0.250  0.250  0.000
Li  0.750  0.750  0.000
Dy  0.170  0.747  0.917
Dy  0.330  0.247  0.578
Dy  0.670  0.753  0.422
Dy  0.830  0.253  0.083
Cu  0.250  0.750  0.500
Cu  0.750  0.250  0.500
Pt  0.125  0.248  0.374
Pt  0.375  0.748  0.123
Pt  0.625  0.252  0.877
Pt  0.875  0.752  0.626

Most intense lines, 5° ≤ 2θ ≤ 70°, sorted by position:
d = 3.575 Å, 24.90 deg, I = 78.9
d = 2.862 Å, 31.26 deg, I = 88.3
d = 2.837 Å, 31.54 deg, I = 86.2
d = 2.674 Å, 33.51 deg, I = 60.9
d = 2.234 Å, 40.37 deg, I = 80.0
d = 2.222 Å, 40.60 deg, I = 78.7
d = 2.051 Å, 44.15 deg, I = 61.7
d = 2.015 Å, 45.00 deg, I = 100.0
d = 1.755 Å, 52.11 deg, I = 44.4
d = 1.348 Å, 69.78 deg, I = 43.1

(3)
For LiDyCuS2, a structure optimized by DFT (PBE) gives the theoretical powder diffractogram in this record (Cu Kα (weighted mean of Kα1 and Kα2)).
Peak positions follow from Bragg's law for the DFT cell and can differ from measured ones.

Cell and atoms:
Unit cell a=5.268 b=5.650 c=7.062 alpha=90.00 beta=90.00 gamma=90.00
Fractional positions:
Li  0.000  0.000  0.250
Li  0.000  0.000  0.750
Dy  0.500  0.500  0.250
Dy  0.500  0.500  0.750
Cu  0.000  0.500  0.000
Cu  0.000  0.500  0.500
S  0.272  0.211  0.000
S  0.272  0.789  0.500
S  0.728  0.211  0.500
S  0.728  0.789  0.000

Most intense lines, 5° ≤ 2θ ≤ 70°, sorted by position:
d = 5.650 Å, 15.68 deg, I = 100.0
d = 5.268 Å, 16.83 deg, I = 17.9
d = 3.853 Å, 23.08 deg, I = 16.6
d = 2.933 Å, 30.48 deg, I = 44.3
d = 2.603 Å, 34.45 deg, I = 77.8
d = 2.387 Å, 37.68 deg, I = 31.1
d = 2.035 Å, 44.53 deg, I = 36.3
d = 1.926 Å, 47.18 deg, I = 23.5
d = 1.585 Å, 58.21 deg, I = 15.7
d = 1.515 Å, 61.19 deg, I = 13.4

(4)
For Dy12MgCu6, a structure optimized by DFT (PBE) gives the theoretical powder diffractogram in this record (Cu Kα (weighted mean of Kα1 and Kα2)).
Peak positions follow from Bragg's law for the DFT cell and can differ from measured ones.

Cell and atoms:
Unit cell a=8.562 b=8.562 c=8.562 alpha=109.47 beta=109.47 gamma=109.47
Fractional positions:
Dy  0.109  0.297  0.811
Dy  0.189  0.486  0.297
Dy  0.189  0.891  0.703
Dy  0.297  0.189  0.486
Dy  0.297  0.811  0.109
Dy  0.486  0.297  0.189
Dy  0.514  0.703  0.811
Dy  0.703  0.189  0.891
Dy  0.703  0.811  0.514
Dy  0.811  0.109  0.297
Dy  0.811  0.514  0.703
Dy  0.891  0.703  0.189
Mg  0.000  0.000  0.000
Cu  0.124  0.500  0.624
Cu  0.376  0.876  0.500
Cu  0.500  0.376  0.876
Cu  0.500  0.624  0.124
Cu  0.624  0.124  0.500
Cu  0.876  0.500  0.376

Most intense lines, 5° ≤ 2θ ≤ 70°, sorted by position:
d = 3.495 Å, 25.48 deg, I = 14.7
d = 3.126 Å, 28.55 deg, I = 35.4
d = 2.854 Å, 31.34 deg, I = 41.8
d = 2.642 Å, 33.93 deg, I = 100.0
d = 2.472 Å, 36.35 deg, I = 17.3
d = 1.939 Å, 46.86 deg, I = 17.5
d = 1.695 Å, 54.09 deg, I = 36.7
d = 1.648 Å, 55.79 deg, I = 13.1
d = 1.604 Å, 57.46 deg, I = 34.5
d = 1.398 Å, 66.93 deg, I = 18.0

(5)
For DyMg2Cu6, a structure optimized by DFT (PBE) gives the theoretical powder diffractogram in this record (Cu Kα (weighted mean of Kα1 and Kα2)).
Peak positions follow from Bragg's law for the DFT cell and can differ from measured ones.

Cell and atoms:
Unit cell a=7.472 b=7.472 c=7.472 alpha=154.73 beta=123.41 gamma=62.94
Fractional positions:
Dy  0.000  0.000  0.000
Mg  0.360  0.860  0.500
Mg  0.640  0.140  0.500
Cu  0.005  0.322  0.683
Cu  0.328  0.500  0.828
Cu  0.361  0.678  0.683
Cu  0.639  0.322  0.317
Cu  0.672  0.500  0.172
Cu  0.995  0.678  0.317

Most intense lines, 5° ≤ 2θ ≤ 70°, sorted by position:
d = 6.373 Å, 13.90 deg, I = 29.4
d = 6.192 Å, 14.30 deg, I = 48.5
d = 3.096 Å, 28.84 deg, I = 27.5
d = 2.690 Å, 33.30 deg, I = 100.0
d = 2.590 Å, 34.63 deg, I = 29.6
d = 2.360 Å, 38.13 deg, I = 92.0
d = 2.172 Å, 41.59 deg, I = 51.9
d = 2.124 Å, 42.56 deg, I = 45.1
d = 2.064 Å, 43.87 deg, I = 89.1
d = 1.748 Å, 52.33 deg, I = 38.7

(6)
For DyMg3Cu, a structure optimized by DFT (PBE) gives the theoretical powder diffractogram in this record (Cu Kα (weighted mean of Kα1 and Kα2)).
Peak positions follow from Bragg's law for the DFT cell and can differ from measured ones.

Cell and atoms:
Unit cell a=7.377 b=7.377 c=4.327 alpha=90.00 beta=90.00 gamma=111.35
Fractional positions:
Dy  0.207  0.793  0.000
Dy  0.793  0.207  0.000
Mg  0.000  0.000  0.500
Mg  0.175  0.435  0.500
Mg  0.435  0.175  0.500
Mg  0.500  0.500  0.000
Mg  0.565  0.825  0.500
Mg  0.825  0.565  0.500
Cu  0.186  0.186  0.000
Cu  0.814  0.814  0.000

Most intense lines, 5° ≤ 2θ ≤ 70°, sorted by position:
d = 6.870 Å, 12.89 deg, I = 43.8
d = 4.327 Å, 20.52 deg, I = 73.7
d = 3.656 Å, 24.35 deg, I = 36.8
d = 3.435 Å, 25.94 deg, I = 66.5
d = 2.999 Å, 29.79 deg, I = 43.4
d = 2.790 Å, 32.08 deg, I = 50.7
d = 2.691 Å, 33.30 deg, I = 100.0
d = 2.491 Å, 36.06 deg, I = 44.2
d = 2.291 Å, 39.33 deg, I = 51.9
d = 2.024 Å, 44.77 deg, I = 36.5